Entry 1:
The following is a theoretical powder diffractogram of CrFeO4. It was derived from a PBE+U-relaxed structure, using Cu Kα.
Intensities are scaled so that the largest is 100.

Cell and atoms:
Lattice parameters (Å, degrees): 10.028 9.162 6.834 90.00 106.34 90.00
Space group C2/m (No. 12)
Asymmetric unit:
Cr 0.000 0.242 0.000
Cr 0.220 0.000 0.588
Fe 0.000 0.317 0.500
Fe 0.204 0.500 0.870
O 0.047 0.345 0.804
O 0.137 0.160 0.523
O 0.142 0.500 0.543
O 0.145 0.148 0.110
O 0.209 0.500 0.151

Main lines, by angle (2θ from 5° to 70°):
d (Å)	intensity	h k l
6.636	16	1 1 0
3.318	100	2 2 0
3.279	25	0 0 2
3.196	23	1 1 -2
3.077	16	3 1 -1
2.736	13	1 1 2
2.596	21	2 2 -2
2.212	19	3 3 0
1.705	11	2 0 -4
1.688	11	3 3 2

***

Entry 2:
The following is a theoretical powder diffractogram of Li3Fe3P4O16. It was derived from a PBE+U-relaxed structure, using Cu Kα.
Intensities are scaled so that the largest is 100.

Cell and atoms:
Lattice parameters (Å, degrees): 8.582 8.979 9.447 103.10 105.00 114.11
Space group P-1 (No. 2)
Asymmetric unit:
Li 0.079 0.097 0.302
Li 0.282 0.979 0.539
Li 0.311 0.062 0.154
Fe 0.157 0.644 0.175
Fe 0.208 0.777 0.738
Fe 0.494 0.518 0.236
P 0.062 0.233 0.047
P 0.066 0.337 0.627
P 0.452 0.708 0.532
P 0.478 0.807 0.082
O 0.010 0.774 0.551
O 0.030 0.794 0.835
O 0.044 0.921 0.109
O 0.063 0.403 0.019
O 0.087 0.521 0.668
O 0.092 0.768 0.321
O 0.244 0.337 0.716
O 0.270 0.283 0.123
O 0.327 0.045 0.798
O 0.332 0.835 0.141
O 0.345 0.157 0.423
O 0.353 0.803 0.594
O 0.357 0.624 0.342
O 0.425 0.560 0.595
O 0.437 0.812 0.914
O 0.447 0.624 0.077

Main lines, by angle (2θ from 5° to 70°):
d (Å)	intensity	h k l
7.591	100	0 1 0
7.355	49	1 -1 0
4.270	49	1 1 0
3.796	53	0 2 0
3.602	78	1 -1 2
3.508	55	2 0 -2
3.063	50	1 0 -3
2.830	58	-2 2 2
2.722	57	2 -2 2
2.690	38	-3 1 2